(1)
This entry pairs a crystal structure of Y3Ho8Th2 with its calculated XRD peak list. Radiation: λ = 1.5418 Å (Cu Kα). Structure: a structure optimized by DFT (PBE).
Neutral-atom scattering factors, no anomalous dispersion.

Atomic structure:
Lattice parameters (Å, degrees): 6.1212 7.6728 18.5307 85.76 80.81 77.30
Space group P-1 (No. 2)
One atom of each set of equivalent atoms:
1 Y 0.0000 0.0000 0.0000 [1 per cell]
2 Y 0.0000 0.0000 0.5000 [1 per cell]
3 Y 0.3328 0.6837 0.2257 [2 per cell]
4 Y 0.4280 0.2385 0.2926 [2 per cell]
5 Ho 0.0029 0.9821 0.6783 [2 per cell]
6 Ho 0.1116 0.5541 0.0759 [2 per cell]
7 Ho 0.1141 0.5344 0.7395 [2 per cell]
8 Ho 0.2308 0.0964 0.8155 [2 per cell]
9 Ho 0.3339 0.6605 0.8876 [2 per cell]
10 Ho 0.3628 0.6453 0.5617 [2 per cell]
11 Ho 0.4459 0.2187 0.9630 [2 per cell]
12 Ho 0.4472 0.1849 0.6143 [2 per cell]
13 Th 0.0912 0.5688 0.4147 [2 per cell]
14 Th 0.2206 0.1206 0.1464 [2 per cell]

The 12 most intense peaks (2θ from 5° to 70°), sorted by position:
2θ (°)	I/Imax	h k l
30.91	100	1 -2 0
31.26	98	0 1 6
34.87	38	1 -1 6
35.69	34	2 0 -3
37.55	27	1 3 3
50.72	12	3 -1 3
50.78	11	1 1 -9
52.77	22	3 3 0
60.48	13	1 0 12
61.16	14	3 2 -6
61.37	13	4 1 0
64.07	11	3 4 6



(2)
This entry pairs a crystal structure of Tc3Hg4 with its calculated XRD peak list. Radiation: λ = 1.5418 Å (Cu Kα). Structure: a structure optimized by DFT (PBE).
Neutral-atom scattering factors, no anomalous dispersion.

Atomic structure:
Lattice parameters (Å, degrees): 2.9639 2.9639 30.1364 90.00 90.00 90.00
Space group I4/mmm (No. 139)
One atom of each set of equivalent atoms:
1 Tc 0.0000 0.0000 0.0000 [2 per cell]
2 Tc 0.0000 0.0000 0.2740 [4 per cell]
3 Hg 0.0000 0.0000 0.1533 [4 per cell]
4 Hg 0.0000 0.0000 0.4320 [4 per cell]

The 12 most intense peaks (2θ from 5° to 70°), sorted by position:
2θ (°)	I/Imax	h k l
29.64	9	0 0 10
31.47	14	1 0 3
33.70	6	1 0 5
36.82	100	1 0 7
41.97	11	0 0 14
43.16	37	1 1 0
53.24	8	1 1 10
57.25	5	1 1 12
60.89	7	1 0 17
61.78	14	1 1 14
62.69	12	2 0 0
66.91	6	1 0 19



(3)
This entry pairs a crystal structure of NdMg3Au with its calculated XRD peak list. Radiation: λ = 1.5418 Å (Cu Kα). Structure: a structure optimized by DFT (PBE).
Neutral-atom scattering factors, no anomalous dispersion.

Atomic structure:
Lattice parameters (Å, degrees): 5.6379 5.6379 18.3637 90.00 90.00 90.00
Space group I-4m2 (No. 119)
One atom of each set of equivalent atoms:
1 Nd 0.0000 0.0000 0.1930 [4 per cell]
2 Mg 0.0000 0.2462 0.6224 [8 per cell]
3 Mg 0.0000 0.5000 0.0403 [4 per cell]
4 Au 0.0000 0.0000 0.5000 [2 per cell]
5 Au 0.0000 0.5000 0.7500 [2 per cell]

The 12 most intense peaks (2θ from 5° to 70°), sorted by position:
2θ (°)	I/Imax	h k l
9.63	19	0 0 2
16.45	57	1 0 1
19.33	19	0 0 4
21.43	100	1 0 3
31.74	49	2 0 0
37.03	36	1 1 6
37.44	25	2 0 4
37.82	28	1 0 7
38.62	66	2 1 3
45.53	18	2 2 0
55.06	19	1 1 10
60.06	20	3 1 6



(4)
This entry pairs a crystal structure of ScSb2Te with its calculated XRD peak list. Radiation: λ = 1.5418 Å (Cu Kα). Structure: a structure optimized by DFT (PBE).
Neutral-atom scattering factors, no anomalous dispersion.

Atomic structure:
Lattice parameters (Å, degrees): 4.1900 4.3880 6.2598 90.00 109.36 90.00
Space group Pm (No. 6)
One atom of each set of equivalent atoms:
1 Sc 0.0000 0.0000 0.0000 [1 per cell]
2 Sb 0.3307 0.0000 0.5771 [1 per cell]
3 Sb 0.8967 0.5000 0.6424 [1 per cell]
4 Te 0.5497 0.5000 0.1318 [1 per cell]

The 12 most intense peaks (2θ from 5° to 70°), sorted by position:
2θ (°)	I/Imax	h k l
15.00	10	0 0 1
30.27	38	0 0 2
30.46	100	1 1 -1
31.12	13	1 0 1
36.68	16	0 1 2
37.43	55	1 1 1
41.14	22	0 2 0
43.18	16	2 0 -1
48.95	13	1 1 -3
51.92	16	0 2 2
61.17	11	2 2 -1
68.40	9	1 3 -1



What did the second record say?
This entry pairs a crystal structure of Tc3Hg4 with its calculated XRD peak list. Radiation: λ = 1.5418 Å (Cu Kα). Structure: a structure optimized by DFT (PBE).
Neutral-atom scattering factors, no anomalous dispersion.

Atomic structure:
Lattice parameters (Å, degrees): 2.9639 2.9639 30.1364 90.00 90.00 90.00
Space group I4/mmm (No. 139)
One atom of each set of equivalent atoms:
1 Tc 0.0000 0.0000 0.0000 [2 per cell]
2 Tc 0.0000 0.0000 0.2740 [4 per cell]
3 Hg 0.0000 0.0000 0.1533 [4 per cell]
4 Hg 0.0000 0.0000 0.4320 [4 per cell]

The 12 most intense peaks (2θ from 5° to 70°), sorted by position:
2θ (°)	I/Imax	h k l
29.64	9	0 0 10
31.47	14	1 0 3
33.70	6	1 0 5
36.82	100	1 0 7
41.97	11	0 0 14
43.16	37	1 1 0
53.24	8	1 1 10
57.25	5	1 1 12
60.89	7	1 0 17
61.78	14	1 1 14
62.69	12	2 0 0
66.91	6	1 0 19